(1)
Simulated powder X-ray diffraction pattern of Pm2Sm2Y4Er for a wavelength of 1.5418 Å, from DFT lattice parameters and positions (PBE).
Neutral-atom scattering factors, no anomalous dispersion.

Peak list (8 most intense, 2θ = 5–70°, in order of rising 2θ)
(3 1 -1), d 3.116, intensity 46
(0 0 3), d 2.896, intensity 48
(6 0 0), d 2.828, intensity 100
(6 0 -3), d 2.689, intensity 88
(0 2 0), d 1.812, intensity 36
(6 0 3), d 1.690, intensity 21
(6 0 -6), d 1.601, intensity 19
(9 1 1), d 1.536, intensity 42

Atomic structure:
Cell: 18.829 3.625 9.645 Å, 90.00 115.74 90.00°
Space group C2/m (No. 12)
Asymmetric unit:
1 Pm 0.165 0.000 0.000 x4
2 Sm 0.148 0.500 0.665 x4
3 Y 0.019 0.000 0.332 x4
4 Y 0.185 0.500 0.334 x4
5 Er 0.000 0.500 0.000 x2

***

(2)
Simulated powder X-ray diffraction pattern of PmSmY2Er2 for a wavelength of 1.5418 Å, from DFT lattice parameters and positions (PBE).
Neutral-atom scattering factors, no anomalous dispersion.

Peak list (8 most intense, 2θ = 5–70°, in order of rising 2θ)
(1 2 0), d 5.285, intensity 47
(2 2 0), d 3.078, intensity 100
(0 6 0), d 2.974, intensity 89
(0 3 1), d 2.958, intensity 82
(1 2 1), d 2.865, intensity 55
(2 4 0), d 2.642, intensity 82
(1 4 1), d 2.504, intensity 51
(2 3 1), d 2.196, intensity 62

Atomic structure:
Cell: 6.559 17.843 3.409 Å, 90.00 90.00 90.00°
Space group Pnnm (No. 58)
Asymmetric unit:
1 Pm 0.000 0.000 0.000 x2
2 Sm 0.000 0.500 0.000 x2
3 Y 0.226 0.186 0.000 x4
4 Er 0.225 0.352 0.500 x4